The following is a theoretical X-ray powder pattern of UFe4Pd. It was derived from a DFT-relaxed cell (PBE, Alexandria), using CuKα.
Kinematic intensities with the Lorentz-polarization factor, no thermal factor.

Cell and atoms:
abc: 7.0093 7.0093 7.0093
angles: 90.00 90.00 90.00
Space group F-43m (No. 216)
Unique sites:
U 0.0000 0.0000 0.0000 (multiplicity 4)
Fe 0.1240 0.1240 0.6240 (multiplicity 16)
Pd 0.2500 0.2500 0.2500 (multiplicity 4)

Main lines, in order of falling intensity (2θ = 10–90°):
2θ/deg  d/Å  Rel. int.  h k l
42.79  2.113  100  3 1 1
36.25  2.478  67  2 2 0
69.71  1.349  31  5 1 1
21.96  4.047  28  1 1 1
65.21  1.431  25  4 2 2
76.95  1.239  21  4 4 0
44.79  2.023  15  2 2 2
88.15  1.108  12  6 2 0
25.41  3.505  10  2 0 0
57.29  1.608  8  3 3 1

The following is a theoretical X-ray powder pattern of V2FePd7. It was derived from a DFT-relaxed cell (PBE, Alexandria), using CuKα.
Kinematic intensities with the Lorentz-polarization factor, no thermal factor.

Cell and atoms:
abc: 7.3279 16.5494 2.7291
angles: 90.00 90.00 90.00
Space group Cmmm (No. 65)
Unique sites:
V 0.0000 0.1555 0.0000 (multiplicity 4)
Fe 0.0000 0.5000 0.5000 (multiplicity 2)
Pd 0.0000 0.0000 0.0000 (multiplicity 2)
Pd 0.0000 0.2816 0.5000 (multiplicity 4)
Pd 0.1996 0.3991 0.0000 (multiplicity 8)

Main lines, in order of falling intensity (2θ = 10–90°):
2θ/deg  d/Å  Rel. int.  h k l
32.65  2.743  100  2 4 0
44.78  2.024  72  1 5 1
50.44  1.809  60  3 1 1
39.56  2.278  58  0 4 1
53.44  1.714  41  2 6 1
40.96  2.204  38  2 6 0
34.61  2.592  35  0 2 1
79.72  1.203  32  5 5 1
41.25  2.189  32  2 0 1
37.21  2.416  29  3 1 0

The following is a theoretical X-ray powder pattern of V2FePd9. It was derived from a DFT-relaxed cell (PBE, Alexandria), using CuKα.
Kinematic intensities with the Lorentz-polarization factor, no thermal factor.

Cell and atoms:
abc: 3.8921 3.8921 11.7187
angles: 90.00 90.00 90.00
Space group P4/mmm (No. 123)
Unique sites:
V 0.0000 0.0000 0.1700 (multiplicity 2)
Fe 0.0000 0.0000 0.5000 (multiplicity 1)
Pd 0.0000 0.5000 0.0000 (multiplicity 2)
Pd 0.0000 0.5000 0.3318 (multiplicity 4)
Pd 0.5000 0.5000 0.1655 (multiplicity 2)
Pd 0.5000 0.5000 0.5000 (multiplicity 1)

Main lines, in order of falling intensity (2θ = 10–90°):
2θ/deg  d/Å  Rel. int.  h k l
40.08  2.250  100  1 1 3
46.68  1.946  32  2 0 0
82.10  1.174  23  3 1 3
68.00  1.379  20  2 0 6
46.50  1.953  16  0 0 6
81.84  1.177  12  1 1 9
86.52  1.125  10  2 2 6
68.14  1.376  10  2 2 0
22.82  3.897  7  1 0 0
32.49  2.755  6  1 1 0

The following is a theoretical X-ray powder pattern of VFe2Pd6. It was derived from a DFT-relaxed cell (PBE, Alexandria), using CuKα.
Kinematic intensities with the Lorentz-polarization factor, no thermal factor.

Cell and atoms:
abc: 3.9019 11.3853 11.7223
angles: 90.00 90.00 90.00
Space group Fmmm (No. 69)
Unique sites:
V 0.0000 0.0000 0.0000 (multiplicity 4)
Fe 0.0000 0.0000 0.3350 (multiplicity 8)
Pd 0.0000 0.1573 0.1669 (multiplicity 16)
Pd 0.0000 0.1580 0.5000 (multiplicity 8)

Main lines, in order of falling intensity (2θ = 10–90°):
2θ/deg  d/Å  Rel. int.  h k l
40.40  2.233  100  1 3 3
46.52  1.952  34  2 0 0
69.02  1.361  18  2 6 0
47.94  1.898  14  0 6 0
82.02  1.175  12  1 3 9
82.13  1.174  12  3 3 3
67.89  1.381  10  2 0 6
87.35  1.116  10  2 6 6
84.18  1.150  9  1 9 3
33.39  2.683  9  1 1 3

The following is a theoretical X-ray powder pattern of V3FePd6. It was derived from a DFT-relaxed cell (PBE, Alexandria), using CuKα.
Kinematic intensities with the Lorentz-polarization factor, no thermal factor.

Cell and atoms:
abc: 7.4650 16.3756 2.7080
angles: 90.00 90.00 90.00
Space group Cmmm (No. 65)
Unique sites:
V 0.0000 0.0000 0.0000 (multiplicity 2)
V 0.2500 0.2500 0.5000 (multiplicity 4)
Fe 0.0000 0.5000 0.0000 (multiplicity 2)
Pd 0.0000 0.3547 0.5000 (multiplicity 4)
Pd 0.1933 0.1138 0.0000 (multiplicity 8)

Main lines, in order of falling intensity (2θ = 10–90°):
2θ/deg  d/Å  Rel. int.  h k l
47.03  1.932  100  2 4 1
21.71  4.094  61  0 4 0
36.53  2.460  38  3 1 0
40.97  2.203  36  2 6 0
39.04  2.307  29  1 3 1
44.25  2.047  28  0 8 0
39.81  2.264  25  3 3 0
35.69  2.515  25  1 1 1
34.90  2.571  25  0 2 1
41.18  2.192  17  2 0 1

The following is a theoretical X-ray powder pattern of Fe2Pd7W2. It was derived from a DFT-relaxed cell (PBE, Alexandria), using CuKα.
Kinematic intensities with the Lorentz-polarization factor, no thermal factor.

Cell and atoms:
abc: 6.9605 7.8366 6.5735
angles: 90.00 109.72 90.00
Space group C2/m (No. 12)
Unique sites:
Fe 0.0000 0.2183 0.0000 (multiplicity 4)
Pd 0.0000 0.5000 0.5000 (multiplicity 2)
Pd 0.1845 0.5000 0.9553 (multiplicity 4)
Pd 0.2001 0.1883 0.6659 (multiplicity 8)
W 0.0905 0.0000 0.2854 (multiplicity 4)

Main lines, in order of falling intensity (2θ = 10–90°):
2θ/deg  d/Å  Rel. int.  h k l
42.16  2.143  100  2 2 1
40.56  2.224  83  3 1 -1
39.93  2.258  76  2 2 -2
37.89  2.375  57  1 1 2
44.48  2.037  56  1 3 -2
41.64  2.169  44  1 3 1
38.11  2.362  41  1 3 -1
17.64  5.027  33  1 1 0
43.89  2.063  32  0 0 3
72.83  1.299  29  3 5 -1

The following is a theoretical X-ray powder pattern of Y6FePd2. It was derived from a DFT-relaxed cell (PBE, Alexandria), using CuKα.
Kinematic intensities with the Lorentz-polarization factor, no thermal factor.

Cell and atoms:
abc: 6.5181 7.3776 11.6854
angles: 90.00 122.86 90.00
Space group P2_1/c (No. 14)
Unique sites:
Y 0.1073 0.1837 0.4381 (multiplicity 4)
Y 0.2723 0.6749 0.4353 (multiplicity 4)
Y 0.3902 0.0338 0.2491 (multiplicity 4)
Fe 0.0000 0.0000 0.0000 (multiplicity 2)
Pd 0.1854 0.1160 0.7432 (multiplicity 4)

Main lines, in order of falling intensity (2θ = 10–90°):
2θ/deg  d/Å  Rel. int.  h k l
33.19  2.700  100  1 2 1
30.33  2.947  95  1 0 2
36.68  2.450  91  0 0 4
31.51  2.839  81  2 1 -3
39.15  2.301  58  1 3 -1
32.73  2.736  51  1 1 2
31.22  2.865  42  2 1 -1
29.35  3.043  41  1 2 -2
33.49  2.676  35  1 2 -3
56.54  1.628  35  2 1 -7

The following is a theoretical X-ray powder pattern of Zn2FePd8. It was derived from a DFT-relaxed cell (PBE, Alexandria), using CuKα.
Kinematic intensities with the Lorentz-polarization factor, no thermal factor.

Cell and atoms:
abc: 4.1034 6.8871 11.8773
angles: 90.00 90.00 90.00
Space group Immm (No. 71)
Unique sites:
Zn 0.0000 0.0000 0.1933 (multiplicity 4)
Fe 0.0000 0.0000 0.5000 (multiplicity 2)
Pd 0.0000 0.1977 0.0000 (multiplicity 4)
Pd 0.0000 0.2778 0.3426 (multiplicity 8)
Pd 0.0000 0.5000 0.1461 (multiplicity 4)

Main lines, in order of falling intensity (2θ = 10–90°):
2θ/deg  d/Å  Rel. int.  h k l
41.12  2.195  100  1 2 3
44.14  2.052  27  2 0 0
39.69  2.271  18  1 1 4
45.84  1.980  17  0 0 6
79.13  1.210  14  3 2 3
40.00  2.254  11  0 3 1
65.52  1.425  11  2 0 6
53.20  1.722  8  0 4 0
31.40  2.849  8  1 0 3
80.32  1.195  7  1 5 4

The following is a theoretical X-ray powder pattern of Zn4FePd5. It was derived from a DFT-relaxed cell (PBE, Alexandria), using CuKα.
Kinematic intensities with the Lorentz-polarization factor, no thermal factor.

Cell and atoms:
abc: 2.8749 2.8749 17.3563
angles: 90.00 90.00 90.00
Space group P4/mmm (No. 123)
Unique sites:
Zn 0.0000 0.0000 0.0999 (multiplicity 2)
Zn 0.0000 0.0000 0.2998 (multiplicity 2)
Fe 0.0000 0.0000 0.5000 (multiplicity 1)
Pd 0.5000 0.5000 0.0000 (multiplicity 1)
Pd 0.5000 0.5000 0.1997 (multiplicity 2)
Pd 0.5000 0.5000 0.3994 (multiplicity 2)

Main lines, in order of falling intensity (2θ = 10–90°):
2θ/deg  d/Å  Rel. int.  h k l
40.75  2.214  100  1 0 5
44.57  2.033  38  1 1 0
79.50  1.206  26  2 1 5
71.47  1.320  18  1 1 10
64.87  1.437  12  2 0 0
52.74  1.736  12  0 0 10
88.27  1.107  10  2 0 10
31.11  2.875  5  1 0 0
25.66  3.471  4  0 0 5
52.14  1.754  2  1 1 5

The following is a theoretical X-ray powder pattern of Zn2FePd5. It was derived from a DFT-relaxed cell (PBE, Alexandria), using CuKα.
Kinematic intensities with the Lorentz-polarization factor, no thermal factor.

Cell and atoms:
abc: 5.3856 10.3942 4.2007
angles: 90.00 90.00 90.00
Space group Pbam (No. 55)
Unique sites:
Zn 0.1642 0.1324 0.0000 (multiplicity 4)
Fe 0.0000 0.5000 0.5000 (multiplicity 2)
Pd 0.0000 0.0000 0.5000 (multiplicity 2)
Pd 0.1193 0.7353 0.5000 (multiplicity 4)
Pd 0.1736 0.3878 0.0000 (multiplicity 4)

Main lines, in order of falling intensity (2θ = 10–90°):
2θ/deg  d/Å  Rel. int.  h k l
40.79  2.212  100  0 4 1
43.07  2.100  27  0 0 2
42.52  2.126  19  2 3 0
39.76  2.267  17  2 0 1
77.40  1.233  14  0 4 3
62.12  1.494  12  2 3 2
48.70  1.870  9  2 4 0
76.72  1.242  8  2 7 1
67.01  1.397  7  2 4 2
55.87  1.646  6  2 5 0

The following is a theoretical X-ray powder pattern of Pm2Fe17. It was derived from a DFT-relaxed cell (PBE, Alexandria), using CuKα.
Kinematic intensities with the Lorentz-polarization factor, no thermal factor.

Cell and atoms:
abc: 8.5413 8.5413 12.4672
angles: 90.00 90.00 120.00
Space group R-3m (No. 166, hexagonal axes)
Unique sites:
Pm 0.0000 0.0000 0.1595 (multiplicity 6)
Fe 0.0000 0.0000 0.4036 (multiplicity 6)
Fe 0.0000 0.2908 0.5000 (multiplicity 18)
Fe 0.0000 0.5000 0.0000 (multiplicity 9)
Fe 0.0017 0.5009 0.3432 (multiplicity 18)

Main lines, in order of falling intensity (2θ = 10–90°):
2θ/deg  d/Å  Rel. int.  h k l
42.64  2.121  100  3 0 3
42.33  2.135  63  2 2 0
43.53  2.079  49  0 0 6
36.44  2.466  41  3 0 0
30.00  2.978  38  1 1 3
62.33  1.490  27  2 2 6
37.74  2.383  26  0 2 4
47.90  1.899  21  2 2 3
79.34  1.208  18  3 0 9
77.41  1.233  16  6 0 0

The following is a theoretical X-ray powder pattern of Pm2FeRu3. It was derived from a DFT-relaxed cell (PBE, Alexandria), using CuKα.
Kinematic intensities with the Lorentz-polarization factor, no thermal factor.

Cell and atoms:
abc: 5.4175 5.4175 8.6207
angles: 90.00 90.00 120.00
Space group P6_3/mmc (No. 194)
Unique sites:
Pm 0.3333 0.6667 0.0673 (multiplicity 4)
Fe 0.0000 0.0000 0.0000 (multiplicity 2)
Ru 0.1689 0.3379 0.7500 (multiplicity 6)

Main lines, in order of falling intensity (2θ = 10–90°):
2θ/deg  d/Å  Rel. int.  h k l
36.67  2.450  100  1 0 3
39.82  2.264  98  2 0 1
39.28  2.293  94  1 1 2
61.44  1.509  42  2 1 3
33.07  2.709  37  1 1 0
67.41  1.389  35  2 0 5
69.39  1.354  29  2 2 0
38.37  2.346  23  2 0 0
63.25  1.470  22  3 0 2
81.14  1.185  20  3 1 3

The following is a theoretical X-ray powder pattern of PmFeRu. It was derived from a DFT-relaxed cell (PBE, Alexandria), using CuKα.
Kinematic intensities with the Lorentz-polarization factor, no thermal factor.

Cell and atoms:
abc: 5.2381 5.4943 7.4580
angles: 90.00 90.00 90.00
Space group Imma (No. 74)
Unique sites:
Pm 0.0000 0.2500 0.1264 (multiplicity 4)
Fe 0.2500 0.2500 0.7500 (multiplicity 4)
Ru 0.0000 0.0000 0.5000 (multiplicity 4)

Main lines, in order of falling intensity (2θ = 10–90°):
2θ/deg  d/Å  Rel. int.  h k l
38.94  2.313  100  1 2 1
33.71  2.659  75  1 1 2
40.01  2.254  58  2 1 1
40.15  2.246  47  1 0 3
70.90  1.329  37  2 2 4
34.24  2.619  31  2 0 0
39.80  2.265  28  0 1 3
40.80  2.212  28  0 2 2
42.16  2.143  24  2 0 2
64.45  1.446  22  3 2 1